AcCd17Hg: simulated powder diffraction line list (Cu Kα), based on a PBE-relaxed structure.
Intensities are scaled so that the largest is 100.

Top 8 peaks for 2θ = 10–80°, by angle:
(hkl)  2θ (°)  I/Imax
3 0 0  30.1  58
0 2 4  30.9  47
2 2 0  34.9  90
0 3 3  35.0  99
2 0 5  35.7  36
2 2 3  39.3  100
1 1 6  39.6  36
6 0 0  62.6  35

Atomic structure:
```
data_AcCd17Hg
_chemical_formula_sum 'Ac3 Cd51 Hg3'
_symmetry_space_group_name_H-M 'R 3 m'
_symmetry_Int_Tables_number 160
_symmetry_space_group_name_Hall 'R 3 -2"'
_cell_length_a 10.2820
_cell_length_b 10.2820
_cell_length_c 15.2276
_cell_angle_alpha 90.00
_cell_angle_beta 90.00
_cell_angle_gamma 120.00
loop_
_atom_site_label
_atom_site_type_symbol
_atom_site_fract_x
_atom_site_fract_y
_atom_site_fract_z
Ac1 Ac 0.0000 0.0000 0.0000
Cd1 Cd 0.0000 0.0000 0.5625
Cd2 Cd 0.0000 0.0000 0.7608
Cd3 Cd 0.0354 0.3617 0.3345
Cd4 Cd 0.1683 0.3366 0.8507
Cd5 Cd 0.1691 0.3381 0.1451
Cd6 Cd 0.1697 0.3393 0.5048
Hg1 Hg 0.0000 0.0000 0.2304
```



Sr3Sc: simulated powder diffraction line list (Cu Kα), based on a PBE-relaxed structure.
Intensities are scaled so that the largest is 100.

Top 8 peaks for 2θ = 10–80°, by angle:
(hkl)  2θ (°)  I/Imax
2 0 0  25.7  23
0 0 2  27.8  26
2 0 1  29.3  100
2 0 2  38.2  16
2 2 0  45.3  19
2 0 3  50.1  22
2 2 2  54.0  23
4 0 1  54.9  16

Atomic structure:
```
data_Sr3Sc
_chemical_formula_sum 'Sr6 Sc2'
_symmetry_space_group_name_H-M 'P 63/m m c'
_symmetry_Int_Tables_number 194
_symmetry_space_group_name_Hall '-P 6c 2c'
_cell_length_a 8.0083
_cell_length_b 8.0083
_cell_length_c 6.4116
_cell_angle_alpha 90.00
_cell_angle_beta 90.00
_cell_angle_gamma 120.00
loop_
_atom_site_label
_atom_site_type_symbol
_atom_site_fract_x
_atom_site_fract_y
_atom_site_fract_z
Sr1 Sr 0.1725 0.3451 0.2500
Sc1 Sc 0.3333 0.6667 0.7500
```



Tb3HoMg3: simulated powder diffraction line list (Cu Kα), based on a PBE-relaxed structure.
Intensities are scaled so that the largest is 100.

Top 8 peaks for 2θ = 10–80°, by angle:
(hkl)  2θ (°)  I/Imax
2 0 0  16.6  19
2 2 0  23.0  24
3 1 0  26.3  20
1 1 2  28.2  19
0 4 0  32.0  29
4 0 0  33.6  17
2 2 -2  34.8  100
2 6 -2  58.8  17

Atomic structure:
```
data_Tb3HoMg3
_chemical_formula_sum 'Tb12 Ho4 Mg12'
_symmetry_space_group_name_H-M 'C 1 2/m 1'
_symmetry_Int_Tables_number 12
_symmetry_space_group_name_Hall '-C 2y'
_cell_length_a 10.6669
_cell_length_b 11.1959
_cell_length_c 6.9336
_cell_angle_alpha 90.00
_cell_angle_beta 90.03
_cell_angle_gamma 90.00
loop_
_atom_site_label
_atom_site_type_symbol
_atom_site_fract_x
_atom_site_fract_y
_atom_site_fract_z
Tb1 Tb 0.0000 0.0000 0.2458
Tb2 Tb 0.2500 0.2502 0.2526
Ho1 Ho 0.1891 0.5000 0.9994
Mg1 Mg 0.0000 0.2557 0.0000
Mg2 Mg 0.0000 0.3254 0.5000
Mg3 Mg 0.2275 0.5000 0.4998
```